No. 1
For Dy2Mg3Ni2, a PBE-relaxed structure gives the theoretical X-ray powder pattern in this record (Cu Ka).
Peak positions follow from Bragg's law for the DFT cell and can differ from measured ones.

Top 10 peaks for 10 to 90 degrees two-theta, by angle:
| index | two_theta | I/Imax |
| --- | --- | --- |
| 0 0 1 | 11.9 | 100 |
| 1 1 1 | 27.9 | 35 |
| 1 1 -2 | 33.9 | 41 |
| 3 1 0 | 35.3 | 24 |
| 4 0 0 | 35.4 | 40 |
| 3 1 -1 | 36.3 | 50 |
| 2 0 -3 | 38.5 | 13 |
| 3 1 -2 | 41.1 | 18 |
| 3 1 2 | 45.0 | 16 |
| 0 2 0 | 46.9 | 16 |

Structural model:
Lattice parameters (Å, degrees): 10.202 3.872 7.474 90.00 97.00 90.00
Space group C2/m (No. 12)
Symmetry-distinct sites (fractional):
Dy 0.124 0.000 0.366 (multiplicity 4)
Mg 0.000 0.500 0.000 (multiplicity 2)
Mg 0.185 0.000 0.854 (multiplicity 4)
Ni 0.082 0.500 0.637 (multiplicity 4)

=====

No. 2
For DyMg4Ni, a PBE-relaxed structure gives the theoretical X-ray powder pattern in this record (Cu Ka).
Peak positions follow from Bragg's law for the DFT cell and can differ from measured ones.

Top 10 peaks for 10 to 90 degrees two-theta, by angle:
| index | two_theta | I/Imax |
| --- | --- | --- |
| 1 1 -1 | 21.1 | 98 |
| 3 1 0 | 22.6 | 88 |
| 1 1 1 | 24.5 | 81 |
| 0 2 0 | 25.9 | 46 |
| 5 1 -1 | 32.7 | 44 |
| 2 0 -2 | 33.6 | 40 |
| 4 0 1 | 35.4 | 65 |
| 4 2 -1 | 36.3 | 88 |
| 0 2 2 | 44.8 | 100 |
| 3 1 2 | 48.3 | 47 |

Structural model:
Lattice parameters (Å, degrees): 15.365 6.876 5.332 90.00 110.23 90.00
Space group C2/m (No. 12)
Symmetry-distinct sites (fractional):
Dy 0.208 0.000 0.208 (multiplicity 4)
Mg 0.000 0.201 0.000 (multiplicity 4)
Mg 0.109 0.232 0.609 (multiplicity 8)
Mg 0.158 0.500 0.159 (multiplicity 4)
Ni 0.000 0.500 0.273 (multiplicity 4)